(1)
# LiH2CO3
Calculated powder X-ray diffraction pattern, Cu Kα, 1.54184 Å. Input: a crystal structure in the Materials Project, relaxed with GGA-PBE.
Kinematic intensities with the Lorentz-polarization factor, no thermal factor.

```
data_LiH2CO3
_symmetry_space_group_name_H-M 'P n a 21'
_symmetry_Int_Tables_number 33
_symmetry_space_group_name_Hall 'P 2c -2n'
_cell_length_a 9.994
_cell_length_b 6.565
_cell_length_c 4.902
_cell_angle_alpha 90.00
_cell_angle_beta 90.00
_cell_angle_gamma 90.00
loop_
_atom_site_label
_atom_site_type_symbol
_atom_site_fract_x
_atom_site_fract_y
_atom_site_fract_z
_atom_site_occupancy
Li1 Li 0.049 0.118 0.000 1
H1 H 0.129 0.599 0.384 1
H2 H 0.215 0.668 0.900 1
C1 C 0.196 0.114 0.514 1
O1 O 0.033 0.607 0.451 1
O2 O 0.090 0.074 0.381 1
O3 O 0.208 0.096 0.771 1
```

Largest 10 diffraction maxima, sorted by position, 2θ = 5–70°:
hkl  2theta  I/Imax
1 1 0  16.15  21.5
2 1 0  22.36  19.0
1 1 1  24.35  31.7
2 0 1  25.45  41.5
1 2 0  28.63  100.0
2 1 1  28.91  33.7
3 1 0  30.08  35.4
1 2 1  34.07  41.5
3 1 1  35.33  19.4
4 0 1  40.52  17.6



(2)
# Rb2Cu3P4O14
Calculated powder X-ray diffraction pattern, Cu Kα, 1.54184 Å. Input: a crystal structure in the Materials Project, relaxed with GGA-PBE.
Kinematic intensities with the Lorentz-polarization factor, no thermal factor.

```
data_Rb2Cu3P4O14
_symmetry_space_group_name_H-M 'P 1 21/c 1'
_symmetry_Int_Tables_number 14
_symmetry_space_group_name_Hall '-P 2ybc'
_cell_length_a 7.829
_cell_length_b 10.780
_cell_length_c 7.909
_cell_angle_alpha 90.00
_cell_angle_beta 104.03
_cell_angle_gamma 90.00
loop_
_atom_site_label
_atom_site_type_symbol
_atom_site_fract_x
_atom_site_fract_y
_atom_site_fract_z
_atom_site_occupancy
Rb1 Rb 0.239 0.189 0.046 1
Cu1 Cu 0.229 0.602 0.231 1
Cu2 Cu 0.500 0.000 0.500 1
P1 P 0.118 0.552 0.836 1
P2 P 0.379 0.660 0.656 1
O1 O 0.052 0.007 0.790 1
O2 O 0.083 0.625 0.990 1
O3 O 0.193 0.652 0.717 1
O4 O 0.258 0.051 0.384 1
O5 O 0.356 0.601 0.478 1
O6 O 0.417 0.699 0.162 1
O7 O 0.477 0.092 0.709 1
```

Largest 10 diffraction maxima, sorted by position, 2θ = 5–70°:
hkl  2theta  I/Imax
2 0 0  23.42  24.1
1 1 -2  24.73  47.1
0 3 1  27.43  100.0
1 2 -2  28.68  85.8
2 2 -1  28.81  70.4
1 1 2  29.70  60.1
1 1 -3  35.20  21.6
3 1 -1  35.51  19.7
1 4 -2  41.03  19.1
1 5 -1  44.49  21.2